This entry pairs a crystal structure of NaSr4Ca8 with its calculated PXRD pattern. Radiation: Cu Kα X-rays. Structure: DFT lattice parameters and positions (GGA-PBE).

```
data_NaSr4Ca8
_symmetry_space_group_name_H-M 'P 1'
_symmetry_Int_Tables_number 1
_symmetry_space_group_name_Hall 'P 1'
_cell_length_a 6.988
_cell_length_b 6.988
_cell_length_c 16.388
_cell_angle_alpha 95.46
_cell_angle_beta 95.46
_cell_angle_gamma 47.88
loop_
_atom_site_label
_atom_site_type_symbol
_atom_site_fract_x
_atom_site_fract_y
_atom_site_fract_z
Na1 Na 0.000 0.000 0.000
Sr1 Sr 0.155 0.155 0.542
Sr2 Sr 0.396 0.396 0.852
Sr3 Sr 0.603 0.603 0.149
Sr4 Sr 0.844 0.844 0.459
Ca1 Ca 0.087 0.087 0.775
Ca2 Ca 0.223 0.223 0.303
Ca3 Ca 0.297 0.297 0.077
Ca4 Ca 0.468 0.468 0.621
Ca5 Ca 0.531 0.531 0.379
Ca6 Ca 0.703 0.703 0.924
Ca7 Ca 0.776 0.776 0.698
Ca8 Ca 0.912 0.912 0.226
```

Peak list (6 most intense, 10 to 90 degrees two-theta, low angle first)
- 27.28°, I 100
- 31.10°, I 17
- 31.55°, I 17
- 32.14°, I 15
- 53.04°, I 15
- 53.62°, I 14